[1]
For Sr3P2, the PBE geometry in the Materials Project gives the theoretical powder diffractogram in this record (copper Kα).
Kinematic intensities with the Lorentz-polarization factor, no thermal factor.

Structural model:
Cell lengths 5.6700, 5.6700, 5.6700 Å; angles 90.00, 90.00, 90.00 degrees
Fractional coordinates of all 5 atoms:
Sr: 0.0000 0.0000 0.5000
Sr: 0.0000 0.5000 0.0000
Sr: 0.5000 0.0000 0.0000
P: 0.0000 0.0000 0.0000
P: 0.5000 0.5000 0.5000

Peak list (10 most intense, 2θ from 5° to 70°, sorted by position)
d = 5.670 Å, intensity 31
d = 3.274 Å, intensity 100
d = 2.835 Å, intensity 78
d = 2.536 Å, intensity 17
d = 2.005 Å, intensity 56
d = 1.890 Å, intensity 9
d = 1.710 Å, intensity 45
d = 1.637 Å, intensity 19
d = 1.417 Å, intensity 9
d = 1.375 Å, intensity 5

***

[2]
For SrZn2P2, the PBE geometry in the Materials Project gives the theoretical powder diffractogram in this record (copper Kα).
Kinematic intensities with the Lorentz-polarization factor, no thermal factor.

Structural model:
Cell lengths 4.1147, 4.1147, 7.1297 Å; angles 90.00, 90.00, 120.00 degrees
Fractional coordinates of all 5 atoms:
Sr: 0.0000 0.0000 0.0000
Zn: 0.3333 0.6667 0.3703
Zn: 0.6667 0.3333 0.6297
P: 0.3333 0.6667 0.7258
P: 0.6667 0.3333 0.2742

Peak list (10 most intense, 2θ from 5° to 70°, sorted by position)
d = 7.130 Å, intensity 2
d = 3.188 Å, intensity 100
d = 2.520 Å, intensity 65
d = 2.377 Å, intensity 17
d = 2.057 Å, intensity 57
d = 1.977 Å, intensity 20
d = 1.729 Å, intensity 17
d = 1.594 Å, intensity 26
d = 1.555 Å, intensity 27
d = 1.426 Å, intensity 7

***

[3]
For TaP, the PBE geometry in the Materials Project gives the theoretical powder diffractogram in this record (copper Kα).
Kinematic intensities with the Lorentz-polarization factor, no thermal factor.

Structural model:
Cell lengths 5.7792, 5.7792, 5.7792 Å; angles 144.69, 144.69, 50.80 degrees
Fractional coordinates of all 4 atoms:
Ta: 0.3750 0.6250 0.7500
Ta: 0.6250 0.3750 0.2500
P: 0.1250 0.8750 0.2500
P: 0.8750 0.1250 0.7500

Peak list (10 most intense, 2θ from 5° to 70°, sorted by position)
d = 3.323 Å, intensity 72
d = 2.610 Å, intensity 39
d = 2.470 Å, intensity 33
d = 2.239 Å, intensity 100
d = 1.794 Å, intensity 13
d = 1.753 Å, intensity 24
d = 1.550 Å, intensity 17
d = 1.455 Å, intensity 26
d = 1.429 Å, intensity 13
d = 1.424 Å, intensity 24

***

[4]
For TaP, the PBE geometry in the Materials Project gives the theoretical powder diffractogram in this record (copper Kα).
Kinematic intensities with the Lorentz-polarization factor, no thermal factor.

Structural model:
Cell lengths 3.3222, 3.3222, 3.3394 Å; angles 90.00, 90.00, 120.00 degrees
Fractional coordinates of all 2 atoms:
Ta: 0.0000 0.0000 0.0000
P: 0.3333 0.6667 0.5000

Peak list (8 most intense, 2θ from 5° to 70°, sorted by position)
d = 3.339 Å, intensity 30
d = 2.877 Å, intensity 77
d = 2.180 Å, intensity 100
d = 1.670 Å, intensity 8
d = 1.661 Å, intensity 24
d = 1.487 Å, intensity 18
d = 1.444 Å, intensity 20
d = 1.439 Å, intensity 10

***

[5]
For TaP, the PBE geometry in the Materials Project gives the theoretical powder diffractogram in this record (copper Kα).
Kinematic intensities with the Lorentz-polarization factor, no thermal factor.

Structural model:
Cell lengths 6.1716, 6.1716, 6.1716 Å; angles 148.60, 148.60, 45.00 degrees
Fractional coordinates of all 4 atoms:
Ta: 0.0000 0.0000 0.0000
Ta: 0.7500 0.2500 0.5000
P: 0.1675 0.6675 0.5000
P: 0.4175 0.4175 0.0000

Peak list (10 most intense, 2θ from 5° to 70°, sorted by position)
d = 3.205 Å, intensity 86
d = 2.851 Å, intensity 38
d = 2.509 Å, intensity 64
d = 2.182 Å, intensity 100
d = 1.884 Å, intensity 35
d = 1.670 Å, intensity 25
d = 1.481 Å, intensity 36
d = 1.464 Å, intensity 16
d = 1.441 Å, intensity 20
d = 1.390 Å, intensity 20

***

[6]
For TbP, the PBE geometry in the Materials Project gives the theoretical powder diffractogram in this record (copper Kα).
Kinematic intensities with the Lorentz-polarization factor, no thermal factor.

Structural model:
Cell lengths 4.0295, 4.0295, 4.0295 Å; angles 60.00, 60.00, 60.00 degrees
Fractional coordinates of all 2 atoms:
Tb: 0.0000 0.0000 0.0000
P: 0.5000 0.5000 0.5000

Peak list (6 most intense, 2θ from 5° to 70°, sorted by position)
d = 3.290 Å, intensity 86
d = 2.849 Å, intensity 100
d = 2.015 Å, intensity 73
d = 1.718 Å, intensity 42
d = 1.645 Å, intensity 26
d = 1.425 Å, intensity 12

***

[7]
For TcP3, the PBE geometry in the Materials Project gives the theoretical powder diffractogram in this record (copper Kα).
Kinematic intensities with the Lorentz-polarization factor, no thermal factor.

Structural model:
Cell lengths 15.4427, 3.1169, 5.1728 Å; angles 90.00, 90.00, 90.00 degrees
Fractional coordinates of all 16 atoms:
Tc: 0.1505 0.2500 0.1495
Tc: 0.3495 0.7500 0.6495
Tc: 0.6505 0.2500 0.3505
Tc: 0.8495 0.7500 0.8505
P: 0.0128 0.2500 0.3531
P: 0.1185 0.7500 0.8197
P: 0.2072 0.7500 0.4777
P: 0.2928 0.2500 0.9777
P: 0.3815 0.2500 0.3197
P: 0.4872 0.7500 0.8531
P: 0.5128 0.2500 0.1469
P: 0.6185 0.7500 0.6803
P: 0.7072 0.7500 0.0223
P: 0.7928 0.2500 0.5223
P: 0.8815 0.2500 0.1803
P: 0.9872 0.7500 0.6469

Peak list (10 most intense, 2θ from 5° to 70°, sorted by position)
d = 4.298 Å, intensity 59
d = 3.861 Å, intensity 34
d = 3.649 Å, intensity 50
d = 2.670 Å, intensity 97
d = 2.631 Å, intensity 50
d = 2.574 Å, intensity 28
d = 2.196 Å, intensity 33
d = 1.856 Å, intensity 100
d = 1.641 Å, intensity 28
d = 1.635 Å, intensity 30

***

[8]
For TcP4, the PBE geometry in the Materials Project gives the theoretical powder diffractogram in this record (copper Kα).
Kinematic intensities with the Lorentz-polarization factor, no thermal factor.

Structural model:
Cell lengths 6.2768, 9.2718, 10.9138 Å; angles 90.00, 90.00, 90.00 degrees
Fractional coordinates of all 40 atoms:
Tc: 0.1212 0.1093 0.0754
Tc: 0.1212 0.3907 0.5754
Tc: 0.3788 0.6093 0.0754
Tc: 0.3788 0.8907 0.5754
Tc: 0.6212 0.1093 0.4246
Tc: 0.6212 0.3907 0.9246
Tc: 0.8788 0.6093 0.4246
Tc: 0.8788 0.8907 0.9246
P: 0.0005 0.7083 0.0690
P: 0.0005 0.7917 0.5690
P: 0.0595 0.2185 0.7358
P: 0.0595 0.2815 0.2358
P: 0.1902 0.5533 0.7383
P: 0.1902 0.9467 0.2383
P: 0.2436 0.5436 0.4188
P: 0.2436 0.9564 0.9188
P: 0.2564 0.0436 0.4188
P: 0.2564 0.4564 0.9188
P: 0.3098 0.0533 0.7383
P: 0.3098 0.4467 0.2383
P: 0.4405 0.7185 0.7358
P: 0.4405 0.7815 0.2358
P: 0.4995 0.2083 0.0690
P: 0.4995 0.2917 0.5690
P: 0.5005 0.7083 0.4310
P: 0.5005 0.7917 0.9310
P: 0.5595 0.2185 0.7642
P: 0.5595 0.2815 0.2642
P: 0.6902 0.5533 0.7617
P: 0.6902 0.9467 0.2617
P: 0.7436 0.5436 0.0812
P: 0.7436 0.9564 0.5812
P: 0.7564 0.0436 0.0812
P: 0.7564 0.4564 0.5812
P: 0.8098 0.0533 0.7617
P: 0.8098 0.4467 0.2617
P: 0.9405 0.7185 0.7642
P: 0.9405 0.7815 0.2642
P: 0.9995 0.2083 0.4310
P: 0.9995 0.2917 0.9310

Peak list (10 most intense, 2θ from 5° to 70°, sorted by position)
d = 4.693 Å, intensity 45
d = 3.529 Å, intensity 24
d = 2.973 Å, intensity 22
d = 2.863 Å, intensity 100
d = 2.599 Å, intensity 20
d = 2.472 Å, intensity 18
d = 2.042 Å, intensity 18
d = 1.945 Å, intensity 18
d = 1.819 Å, intensity 18
d = 1.660 Å, intensity 14

***

[9]
For Tc3P, the PBE geometry in the Materials Project gives the theoretical powder diffractogram in this record (copper Kα).
Kinematic intensities with the Lorentz-polarization factor, no thermal factor.

Structural model:
Cell lengths 7.1859, 7.1859, 7.1859 Å; angles 96.56, 96.56, 140.48 degrees
Fractional coordinates of all 16 atoms:
Tc: 0.0014 0.5929 0.0054
Tc: 0.0040 0.9986 0.5916
Tc: 0.1469 0.4930 0.6488
Tc: 0.2082 0.4053 0.0006
Tc: 0.4046 0.2075 0.9994
Tc: 0.4071 0.4124 0.4084
Tc: 0.5020 0.8531 0.3461
Tc: 0.5070 0.1558 0.6539
Tc: 0.5876 0.9960 0.9946
Tc: 0.5947 0.5954 0.8029
Tc: 0.7925 0.7918 0.1971
Tc: 0.8442 0.4980 0.3512
P: 0.0029 0.7089 0.7119
P: 0.2911 0.0030 0.2940
P: 0.7090 0.9971 0.7060
P: 0.9970 0.2910 0.2881

Peak list (10 most intense, 2θ from 5° to 70°, sorted by position)
d = 2.666 Å, intensity 30
d = 2.328 Å, intensity 85
d = 2.287 Å, intensity 56
d = 2.254 Å, intensity 44
d = 2.166 Å, intensity 16
d = 2.139 Å, intensity 33
d = 2.093 Å, intensity 100
d = 1.973 Å, intensity 38
d = 1.876 Å, intensity 16
d = 1.496 Å, intensity 21

***

[10]
For Ti2Te2P, the PBE geometry in the Materials Project gives the theoretical powder diffractogram in this record (copper Kα).
Kinematic intensities with the Lorentz-polarization factor, no thermal factor.

Structural model:
Cell lengths 10.1573, 10.1573, 10.1573 Å; angles 20.74, 20.74, 20.74 degrees
Fractional coordinates of all 5 atoms:
Ti: 0.1223 0.1223 0.1223
Ti: 0.8777 0.8777 0.8777
Te: 0.2720 0.2720 0.2720
Te: 0.7280 0.7280 0.7280
P: 0.5000 0.5000 0.5000

Peak list (10 most intense, 2θ from 5° to 70°, sorted by position)
d = 4.968 Å, intensity 43
d = 3.312 Å, intensity 27
d = 3.097 Å, intensity 79
d = 2.914 Å, intensity 35
d = 2.796 Å, intensity 100
d = 2.541 Å, intensity 60
d = 2.413 Å, intensity 53
d = 1.857 Å, intensity 53
d = 1.828 Å, intensity 56
d = 1.600 Å, intensity 20

***

[11]
For UTeP, the PBE geometry in the Materials Project gives the theoretical powder diffractogram in this record (copper Kα).
Kinematic intensities with the Lorentz-polarization factor, no thermal factor.

Structural model:
Cell lengths 8.8980, 8.8980, 8.8980 Å; angles 153.45, 153.45, 37.89 degrees
Fractional coordinates of all 6 atoms:
U: 0.1090 0.1090 0.0000
U: 0.8910 0.8910 0.0000
Te: 0.3163 0.3163 0.0000
Te: 0.6837 0.6837 0.0000
P: 0.0000 0.5000 0.5000
P: 0.5000 0.0000 0.5000

Peak list (10 most intense, 2θ from 5° to 70°, sorted by position)
d = 4.208 Å, intensity 28
d = 3.970 Å, intensity 43
d = 2.889 Å, intensity 64
d = 2.598 Å, intensity 100
d = 2.382 Å, intensity 47
d = 2.043 Å, intensity 34
d = 1.838 Å, intensity 13
d = 1.701 Å, intensity 24
d = 1.606 Å, intensity 48
d = 1.444 Å, intensity 11

***

[12]
For UTeP, the PBE geometry in the Materials Project gives the theoretical powder diffractogram in this record (copper Kα).
Kinematic intensities with the Lorentz-polarization factor, no thermal factor.

Structural model:
Cell lengths 10.5488, 10.5488, 3.9822 Å; angles 90.00, 90.00, 158.28 degrees
Fractional coordinates of all 6 atoms:
U: 0.0894 0.9106 0.0000
U: 0.9106 0.0894 0.0000
Te: 0.3423 0.6577 0.5000
Te: 0.6577 0.3423 0.5000
P: 0.0000 0.0000 0.5000
P: 0.5000 0.5000 0.0000

Peak list (10 most intense, 2θ from 5° to 70°, sorted by position)
d = 10.360 Å, intensity 47
d = 5.180 Å, intensity 57
d = 3.717 Å, intensity 31
d = 2.869 Å, intensity 43
d = 2.788 Å, intensity 70
d = 2.608 Å, intensity 100
d = 2.374 Å, intensity 29
d = 2.328 Å, intensity 38
d = 1.991 Å, intensity 27
d = 1.581 Å, intensity 29

***

[13]
For UTeP, the PBE geometry in the Materials Project gives the theoretical powder diffractogram in this record (copper Kα).
Kinematic intensities with the Lorentz-polarization factor, no thermal factor.

Structural model:
Cell lengths 11.0478, 11.0478, 4.1564 Å; angles 93.28, 93.28, 158.33 degrees
Fractional coordinates of all 6 atoms:
U: 0.0829 0.9171 0.0000
U: 0.9171 0.0829 0.0000
Te: 0.2237 0.5513 0.6164
Te: 0.5513 0.2237 0.6164
P: 0.5007 0.5007 0.9948
P: 0.9653 0.9653 0.4834

Peak list (10 most intense, 2θ from 5° to 70°, sorted by position)
d = 10.851 Å, intensity 94
d = 5.425 Å, intensity 57
d = 3.893 Å, intensity 55
d = 3.719 Å, intensity 57
d = 3.317 Å, intensity 55
d = 2.924 Å, intensity 66
d = 2.670 Å, intensity 100
d = 2.655 Å, intensity 46
d = 2.438 Å, intensity 87
d = 1.979 Å, intensity 35